# 1
Theoretical PXRD pattern
Compound: Tm5Te4Se
Radiation: Cu Kα
Structure: a structure optimized by DFT (GGA-PBE)

```
data_Tm5Te4Se
_cell_length_a 14.350
_cell_length_b 4.223
_cell_length_c 10.302
_cell_angle_alpha 90.00
_cell_angle_beta 119.21
_cell_angle_gamma 90.00
_space_group_name_H-M_alt 'C 1 2/m 1'
_space_group_IT_number 12
_space_group_name_Hall '-C 2y'
loop_
_atom_site_label
_atom_site_fract_x
_atom_site_fract_y
_atom_site_fract_z
_atom_site_occupancy
Tm1 0.000 0.000 0.000 1
Tm2 0.084 0.500 0.412 1
Tm3 0.184 0.000 0.770 1
Te1 0.109 0.500 0.911 1
Te2 0.194 0.000 0.308 1
Se1 0.000 0.000 0.500 1
```

Principal peaks in the range 10 to 90 degrees two-theta, in order of rising 2θ:
- 2θ 29.6, I = 49
- 2θ 29.8, I = 100
- 2θ 41.9, I = 36
- 2θ 42.3, I = 16
- 2θ 42.8, I = 20
- 2θ 43.0, I = 33
- 2θ 52.9, I = 19
- 2θ 70.4, I = 14


# 2
Theoretical PXRD pattern
Compound: U4Te3Se3
Radiation: Cu Kα
Structure: a structure optimized by DFT (GGA-PBE)

```
data_U4Te3Se3
_cell_length_a 4.041
_cell_length_b 11.377
_cell_length_c 11.817
_cell_angle_alpha 90.00
_cell_angle_beta 90.00
_cell_angle_gamma 90.00
_space_group_name_H-M_alt 'P m c 21'
_space_group_IT_number 26
_space_group_name_Hall 'P 2c -2'
loop_
_atom_site_label
_atom_site_fract_x
_atom_site_fract_y
_atom_site_fract_z
_atom_site_occupancy
U1 0.000 0.065 0.000 1
U2 0.000 0.243 0.311 1
U3 0.500 0.249 0.674 1
U4 0.500 0.435 0.022 1
Te1 0.000 0.040 0.736 1
Te2 0.000 0.302 0.873 1
Te3 0.500 0.455 0.278 1
Se1 0.000 0.378 0.542 1
Se2 0.500 0.119 0.455 1
Se3 0.500 0.199 0.127 1
```

Principal peaks in the range 10 to 90 degrees two-theta, in order of rising 2θ:
- 2θ 23.4, I = 86
- 2θ 31.1, I = 100
- 2θ 32.4, I = 83
- 2θ 33.3, I = 99
- 2θ 34.2, I = 72
- 2θ 35.5, I = 88
- 2θ 38.6, I = 81
- 2θ 44.9, I = 82


# 3
Theoretical PXRD pattern
Compound: TeWSe
Radiation: Cu Kα
Structure: a structure optimized by DFT (GGA-PBE)

```
data_TeWSe
_cell_length_a 3.4377
_cell_length_b 3.4377
_cell_length_c 39.1936
_cell_angle_alpha 90.00
_cell_angle_beta 90.00
_cell_angle_gamma 120.00
_space_group_name_H-M_alt 'P 3 m 1'
_space_group_IT_number 156
_space_group_name_Hall 'P 3 -2"'
loop_
_atom_site_label
_atom_site_fract_x
_atom_site_fract_y
_atom_site_fract_z
_atom_site_occupancy
Te1 0.0000 0.0000 0.0000 1
Te2 0.0000 0.0000 0.0952 1
Te3 0.3333 0.6667 0.8121 1
Te4 0.3333 0.6667 0.9073 1
W1 0.0000 0.0000 0.4840 1
W2 0.0000 0.0000 0.8597 1
W3 0.3333 0.6667 0.0477 1
W4 0.3333 0.6667 0.6719 1
Se1 0.0000 0.0000 0.6300 1
Se2 0.0000 0.0000 0.7138 1
Se3 0.3333 0.6667 0.4421 1
Se4 0.3333 0.6667 0.5259 1
```

Principal peaks in the range 10 to 90 degrees two-theta, in order of rising 2θ:
- 2θ 11.3, I = 100
- 2θ 13.6, I = 18
- 2θ 30.0, I = 38
- 2θ 35.3, I = 81
- 2θ 42.7, I = 50
- 2θ 44.4, I = 17
- 2θ 53.3, I = 30
- 2θ 75.1, I = 14


# 4
Theoretical PXRD pattern
Compound: Te4W3Se2
Radiation: Cu Kα
Structure: a structure optimized by DFT (GGA-PBE)

```
data_Te4W3Se2
_cell_length_a 3.4776
_cell_length_b 3.4776
_cell_length_c 32.0832
_cell_angle_alpha 90.00
_cell_angle_beta 90.00
_cell_angle_gamma 120.00
_space_group_name_H-M_alt 'P -6 m 2'
_space_group_IT_number 187
_space_group_name_Hall 'P -6 2'
loop_
_atom_site_label
_atom_site_fract_x
_atom_site_fract_y
_atom_site_fract_z
_atom_site_occupancy
Te1 0.0000 0.0000 0.1737 1
Te2 0.0000 0.0000 0.2890 1
W1 0.0000 0.0000 0.0000 1
W2 0.6667 0.3333 0.2313 1
Se1 0.6667 0.3333 0.0508 1
```

Principal peaks in the range 10 to 90 degrees two-theta, in order of rising 2θ:
- 2θ 11.0, I = 100
- 2θ 13.8, I = 16
- 2θ 29.7, I = 32
- 2θ 34.2, I = 46
- 2θ 35.7, I = 55
- 2θ 41.1, I = 22
- 2θ 43.2, I = 45
- 2θ 52.7, I = 30


# 5
Theoretical PXRD pattern
Compound: Te2W3Se4
Radiation: Cu Kα
Structure: a structure optimized by DFT (GGA-PBE)

```
data_Te2W3Se4
_cell_length_a 3.3961
_cell_length_b 3.3961
_cell_length_c 31.4744
_cell_angle_alpha 90.00
_cell_angle_beta 90.00
_cell_angle_gamma 120.00
_space_group_name_H-M_alt 'P 3 m 1'
_space_group_IT_number 156
_space_group_name_Hall 'P 3 -2"'
loop_
_atom_site_label
_atom_site_fract_x
_atom_site_fract_y
_atom_site_fract_z
_atom_site_occupancy
Te1 0.0000 0.0000 0.0000 1
Te2 0.0000 0.0000 0.1197 1
W1 0.0000 0.0000 0.8285 1
W2 0.6667 0.3333 0.0598 1
W3 0.6667 0.3333 0.5972 1
Se1 0.0000 0.0000 0.5446 1
Se2 0.0000 0.0000 0.6498 1
Se3 0.6667 0.3333 0.7759 1
Se4 0.6667 0.3333 0.8811 1
```

Principal peaks in the range 10 to 90 degrees two-theta, in order of rising 2θ:
- 2θ 11.2, I = 100
- 2θ 14.1, I = 18
- 2θ 30.4, I = 26
- 2θ 35.0, I = 42
- 2θ 36.5, I = 49
- 2θ 42.0, I = 20
- 2θ 44.2, I = 40
- 2θ 54.0, I = 27


# 6
Theoretical PXRD pattern
Compound: TeWSe
Radiation: Cu Kα
Structure: a structure optimized by DFT (GGA-PBE)

```
data_TeWSe
_cell_length_a 3.4371
_cell_length_b 3.4371
_cell_length_c 24.4741
_cell_angle_alpha 90.00
_cell_angle_beta 90.00
_cell_angle_gamma 120.00
_space_group_name_H-M_alt 'P 3 m 1'
_space_group_IT_number 156
_space_group_name_Hall 'P 3 -2"'
loop_
_atom_site_label
_atom_site_fract_x
_atom_site_fract_y
_atom_site_fract_z
_atom_site_occupancy
Te1 0.0000 0.0000 0.0000 1
Te2 0.0000 0.0000 0.1526 1
W1 0.0000 0.0000 0.7753 1
W2 0.3333 0.6667 0.0763 1
Se1 0.3333 0.6667 0.7082 1
Se2 0.3333 0.6667 0.8425 1
```

Principal peaks in the range 10 to 90 degrees two-theta, in order of rising 2θ:
- 2θ 10.8, I = 100
- 2θ 30.0, I = 25
- 2θ 33.5, I = 17
- 2θ 35.3, I = 62
- 2θ 37.4, I = 25
- 2θ 42.4, I = 43
- 2θ 45.2, I = 17
- 2θ 53.3, I = 19